Starting from a structure optimized by DFT (PBE+U), the XRD peak list of YMnF6 was computed for Cu Kα X-rays.
No peak broadening, texture or thermal motion is included.

Crystal structure
```
YMnF6
1.0
5.004 0.000 0.000
0.000 5.004 0.000
0.000 0.000 7.983
Y Mn F
2 2 12
direct
0.000 0.000 0.250
0.000 0.000 0.750
0.500 0.500 0.000
0.500 0.500 0.500
0.190 0.190 0.000
0.190 0.810 0.500
0.298 0.298 0.344
0.298 0.298 0.656
0.298 0.702 0.156
0.298 0.702 0.844
0.702 0.298 0.156
0.702 0.298 0.844
0.702 0.702 0.344
0.702 0.702 0.656
0.810 0.190 0.500
0.810 0.810 0.000
```

Largest 10 diffraction maxima, by intensity, 10° ≤ 2θ ≤ 80°:
d [Å]  two_theta  I (rel.)  (hkl)
3.538  25.17  100  1 1 0
3.120  28.61  85  1 0 2
1.952  46.52  75  2 1 2
1.539  60.12  24  3 0 2
1.769  51.67  23  2 2 0
1.738  52.65  21  1 1 4
2.127  42.51  19  1 1 3
1.560  59.22  17  2 0 4
1.240  76.89  13  3 1 4
1.582  58.31  10  3 1 0